Starting from the PBE+U geometry in Alexandria, the X-ray diffraction stick pattern of BaErFe2O5 was computed for CuKα.
Intensities are scaled so that the largest is 100.

Structure:
```
BaErFe2O5
1.0
3.9674 0.0000 0.0000
0.0000 3.9674 0.0000
0.0000 0.0000 7.5826
Ba Er Fe O
1 1 2 5
Cartesian
0.0000 0.0000 0.0000
0.0000 0.0000 3.7913
1.9837 1.9837 2.0505
1.9837 1.9837 5.5321
0.0000 1.9837 2.4013
0.0000 1.9837 5.1814
1.9837 0.0000 2.4013
1.9837 0.0000 5.1814
1.9837 1.9837 0.0000
```

Top 8 peaks for 10 to 90 degrees two-theta, low angle first:
- hkl 1 0 0, 22.4°, intensity 21
- hkl 1 1 0, 31.9°, intensity 45
- hkl 1 0 2, 32.7°, intensity 100
- hkl 1 1 2, 40.0°, intensity 22
- hkl 2 0 0, 45.7°, intensity 30
- hkl 2 1 2, 57.3°, intensity 39
- hkl 1 1 4, 58.8°, intensity 20
- hkl 2 0 4, 68.5°, intensity 12